Entry 1:
Starting from DFT lattice parameters and positions (PBE), the XRD peak list of SnO was computed for Cu Kα (weighted mean of Kα1 and Kα2).
No peak broadening, texture or thermal motion is included.

The 10 most intense peaks (10° ≤ 2θ ≤ 90°), in order of falling intensity:
hkl	2θ (°)	I (rel.)
1 0 1	29.12	100
2 1 1	56.20	33
1 1 2	49.23	29
1 1 0	32.72	28
2 0 0	46.95	18
1 0 3	60.20	12
3 1 2	88.95	12
2 1 3	79.65	11
0 0 2	35.74	10
2 0 2	60.37	10

Crystal structure
Cell: 3.8706 3.8706 5.0252 Å, 90.00 90.00 90.00°
Space group P4/nmm (No. 129, origin choice 2)
One atom of each set of equivalent atoms:
Sn  0.2500  0.2500  0.2313 [2 per cell]
O  0.2500  0.7500  0.0000 [2 per cell]



Entry 2:
Starting from DFT lattice parameters and positions (PBE), the XRD peak list of SnO was computed for Cu Kα (weighted mean of Kα1 and Kα2).
No peak broadening, texture or thermal motion is included.

The 10 most intense peaks (10° ≤ 2θ ≤ 90°), in order of falling intensity:
hkl	2θ (°)	I (rel.)
1 1 0	27.23	100
0 0 1	29.34	74
1 1 1	40.46	74
2 0 0	38.89	70
2 0 1	49.45	69
3 1 1	71.48	32
2 2 1	64.63	31
2 2 0	56.17	24
3 1 0	63.52	22
2 0 2	74.63	21

Crystal structure
Cell: 4.6318 4.6318 3.0436 Å, 90.00 90.00 90.00°
Space group P4/nmm (No. 129, origin choice 2)
One atom of each set of equivalent atoms:
Sn  0.2500  0.7500  0.0000 [2 per cell]
O  0.2500  0.2500  0.0168 [2 per cell]



Entry 3:
Starting from DFT lattice parameters and positions (PBE), the XRD peak list of Sn5O6 was computed for Cu Kα (weighted mean of Kα1 and Kα2).
No peak broadening, texture or thermal motion is included.

The 10 most intense peaks (10° ≤ 2θ ≤ 90°), in order of falling intensity:
hkl	2θ (°)	I (rel.)
2 1 -1	26.53	100
3 1 1	31.01	53
5 0 0	32.58	28
1 0 2	31.28	24
5 2 0	49.54	21
0 2 0	36.27	19
7 1 -1	51.85	18
1 2 2	48.63	17
4 2 -2	54.63	15
1 1 -3	50.08	13

Crystal structure
Cell: 13.7552 4.9530 5.9058 Å, 90.00 92.42 90.00°
Space group P2_1/c (No. 14)
One atom of each set of equivalent atoms:
Sn  0.0000  0.0000  0.0000 [2 per cell]
Sn  0.1942  0.9996  0.3482 [4 per cell]
Sn  0.4019  0.0003  0.8201 [4 per cell]
O  0.0574  0.1975  0.2907 [4 per cell]
O  0.1394  0.6751  0.5362 [4 per cell]
O  0.4553  0.1772  0.1306 [4 per cell]